Structure and computed powder X-ray diffraction pattern of La2ZnTc (a structure optimized by DFT (PBE); a wavelength of 1.5418 Å).
Kinematic intensities with the Lorentz-polarization factor, no thermal factor.

Structure:
a b c (Å): 3.594 3.596 7.733
angles (deg): 90.00 92.61 90.00
Space group P2/m (No. 10)
Symmetry-distinct sites (fractional):
La  0.023  0.000  0.274 x2
Zn  0.500  0.500  0.000 x1
Tc  0.500  0.500  0.500 x1

Largest 10 diffraction maxima, in order of falling intensity, 10° ≤ 2θ ≤ 80°:
two_theta  d/Å  I/Imax  h k l
34.06  2.632  100  0 1 2
35.32  2.541  95  1 1 0
33.29  2.692  55  1 0 -2
34.88  2.572  46  1 0 2
50.82  1.797  33  0 2 0
59.15  1.562  19  1 1 -4
61.62  1.505  19  2 1 -2
11.45  7.725  19  0 0 1
62.08  1.495  18  1 2 -2
47.05  1.931  17  0 0 4